1.
Calculated powder X-ray diffraction pattern
Compound: Cs2ErIBrCl2
Radiation: copper Kα
Structure: a cell relaxed with PBE

Structural model:
a = 5.3760 Å, b = 5.3760 Å, c = 18.7889 Å
α = 90.00°, β = 90.00°, γ = 90.00°
Atoms (fractional coordinates):
Cs  0.0000  0.0000  0.0000
Cs  0.0000  0.0000  0.2723
Cs  0.5000  0.5000  0.5000
Cs  0.5000  0.5000  0.7723
Er  0.0000  0.0000  0.6313
Er  0.5000  0.5000  0.1313
I  0.0000  0.0000  0.7969
I  0.5000  0.5000  0.2969
Br  0.0000  0.0000  0.4784
Br  0.5000  0.5000  0.9784
Cl  0.0000  0.5000  0.1327
Cl  0.0000  0.5000  0.6327
Cl  0.5000  0.0000  0.1327
Cl  0.5000  0.0000  0.6327

Largest 6 diffraction maxima, by angle, 2θ = 10–90°:
d/Å  I (rel.)
3.801  100
3.080  43
2.955  30
2.688  64
2.417  31
2.040  33



2.
Calculated powder X-ray diffraction pattern
Compound: Pd4Au5
Radiation: copper Kα
Structure: a cell relaxed with PBE

Structural model:
a = 6.4568 Å, b = 6.4568 Å, c = 6.4568 Å
α = 95.51°, β = 95.51°, γ = 143.90°
Atoms (fractional coordinates):
Pd  0.1668  0.1668  0.3336
Pd  0.1668  0.8332  0.0000
Pd  0.8332  0.1668  0.0000
Pd  0.8332  0.8332  0.6664
Au  0.1704  0.5000  0.6704
Au  0.5000  0.1704  0.6704
Au  0.5000  0.5000  0.0000
Au  0.5000  0.8296  0.3296
Au  0.8296  0.5000  0.3296

Largest 6 diffraction maxima, by angle, 2θ = 10–90°:
d/Å  I (rel.)
2.345  100
2.046  33
2.001  16
1.431  21
1.231  26
1.211  12



3.
Calculated powder X-ray diffraction pattern
Compound: NdGaCu2Sn
Radiation: copper Kα
Structure: a cell relaxed with PBE

Structural model:
a = 4.3419 Å, b = 4.3419 Å, c = 10.3727 Å
α = 90.00°, β = 90.00°, γ = 90.00°
Atoms (fractional coordinates):
Nd  0.2500  0.2500  0.2410
Nd  0.7500  0.7500  0.7590
Ga  0.2500  0.7500  0.0000
Ga  0.7500  0.2500  0.0000
Cu  0.2500  0.2500  0.8845
Cu  0.2500  0.7500  0.5000
Cu  0.7500  0.2500  0.5000
Cu  0.7500  0.7500  0.1155
Sn  0.2500  0.2500  0.6390
Sn  0.7500  0.7500  0.3610

Largest 6 diffraction maxima, by angle, 2θ = 10–90°:
d/Å  I (rel.)
3.070  31
2.705  80
2.642  100
2.171  73
1.872  33
1.693  39



Repeat the second record exactly.
Calculated powder X-ray diffraction pattern
Compound: Pd4Au5
Radiation: copper Kα
Structure: a cell relaxed with PBE

Structural model:
a = 6.4568 Å, b = 6.4568 Å, c = 6.4568 Å
α = 95.51°, β = 95.51°, γ = 143.90°
Atoms (fractional coordinates):
Pd  0.1668  0.1668  0.3336
Pd  0.1668  0.8332  0.0000
Pd  0.8332  0.1668  0.0000
Pd  0.8332  0.8332  0.6664
Au  0.1704  0.5000  0.6704
Au  0.5000  0.1704  0.6704
Au  0.5000  0.5000  0.0000
Au  0.5000  0.8296  0.3296
Au  0.8296  0.5000  0.3296

Largest 6 diffraction maxima, by angle, 2θ = 10–90°:
d/Å  I (rel.)
2.345  100
2.046  33
2.001  16
1.431  21
1.231  26
1.211  12